The following is a computed PXRD pattern of LaPu2Co9. It was derived from a cell relaxed with PBE, using Cu Kα, 1.54184 Å.
Intensities are scaled so that the largest is 100.

Atomic structure:
```
LaPu2Co9
1.0
2.483 1.434 8.157
-2.483 1.434 8.157
0.000 -2.867 8.157
La Pu Co
1 2 9
direct
0.000 0.000 0.000
0.140 0.140 0.140
0.860 0.860 0.860
0.082 0.584 0.584
0.334 0.334 0.334
0.416 0.416 0.918
0.416 0.918 0.416
0.500 0.500 0.500
0.584 0.082 0.584
0.584 0.584 0.082
0.666 0.666 0.666
0.918 0.416 0.416
```

Largest 12 diffraction maxima, in order of falling intensity, 10 to 80 degrees two-theta:
- 2θ = 42.6°, I = 100
- 2θ = 36.2°, I = 69
- 2θ = 33.0°, I = 69
- 2θ = 36.0°, I = 47
- 2θ = 42.2°, I = 41
- 2θ = 10.8°, I = 34
- 2θ = 65.0°, I = 29
- 2θ = 69.5°, I = 26
- 2θ = 45.9°, I = 24
- 2θ = 21.0°, I = 24
- 2θ = 76.8°, I = 22
- 2θ = 63.1°, I = 22